The following is a calculated powder X-ray diffraction pattern of CePrGa6. It was derived from a structure optimized by DFT (PBE), using Cu Kα (weighted mean of Kα1 and Kα2).
Lines closer than 0.1° are merged.

The 10 most intense peaks (2θ from 5° to 70°), by intensity:
h k l  d [Å]  intensity
2 0 1  2.387  100
2 0 0  2.791  25
0 0 2  2.303  22
1 0 1  3.553  20
2 2 0  1.611  16
2 0 3  1.345  16
2 0 2  1.776  13
2 1 0  2.110  9
1 1 0  3.222  8
3 1 1  1.467  7

Crystal structure
```
data_CePrGa6
_space_group_name_H-M_alt 'P -6 m 2'
_space_group_IT_number 187
_space_group_name_Hall 'P -6 2'
_cell_length_a 6.4449
_cell_length_b 6.4449
_cell_length_c 4.6062
_cell_angle_alpha 90.00
_cell_angle_beta 90.00
_cell_angle_gamma 120.00
loop_
_atom_site_label
_atom_site_type_symbol
_atom_site_fract_x
_atom_site_fract_y
_atom_site_fract_z
Ce1 Ce 0.0000 0.0000 0.0000
Pr1 Pr 0.3333 0.6667 0.5000
Ga1 Ga 0.3773 0.1887 0.5000
Ga2 Ga 0.5241 0.0482 0.0000
```